1.
The following is a calculated X-ray powder pattern of La2CeBi3. It was derived from a DFT-relaxed cell (PBE, Alexandria), using copper Kα.

The 8 most intense peaks (2θ from 10° to 90°), low angle first:
(2 0 6), 2θ 26.98, d 3.305, I 100; (2 4 6), 2θ 38.53, d 2.337, I 79; (0 4 12), 2θ 47.66, d 1.908, I 29; (0 8 0), 2θ 55.62, d 1.652, I 14; (2 8 6), 2θ 62.89, d 1.478, I 38; (2 4 18), 2θ 69.70, d 1.349, I 28; (0 0 24), 2θ 82.57, d 1.168, I 9; (2 8 18), 2θ 88.83, d 1.102, I 20

Structure:
a b c (Å): 9.3485 13.2204 28.0315
angles (deg): 90.00 90.00 90.00
Space group Fddd (No. 70, origin choice 2)
Symmetry-distinct sites (fractional):
La 0.1250 0.1250 0.0422 x16
La 0.1250 0.1250 0.3744 x16
Ce 0.1250 0.1250 0.5415 x16
Bi 0.1197 0.3750 0.8750 x16
Bi 0.1223 0.3726 0.7093 x32

---

2.
The following is a calculated X-ray powder pattern of La5CeBi4. It was derived from a DFT-relaxed cell (PBE, Alexandria), using copper Kα.

The 8 most intense peaks (2θ from 10° to 90°), low angle first:
(1 1 1), 2θ 24.35, d 3.656, I 16; (3 1 -2), 2θ 28.14, d 3.171, I 14; (4 0 -3), 2θ 29.40, d 3.038, I 22; (3 1 1), 2θ 30.54, d 2.928, I 37; (6 0 0), 2θ 31.69, d 2.824, I 26; (5 1 -2), 2θ 31.92, d 2.803, I 100; (0 2 0), 2θ 40.05, d 2.251, I 22; (6 2 0), 2θ 51.95, d 1.760, I 14

Structure:
a b c (Å): 19.2833 4.5023 9.2692
angles (deg): 90.00 118.53 90.00
Space group C2/m (No. 12)
Symmetry-distinct sites (fractional):
La 0.0000 0.0000 0.0000 x2
La 0.1686 0.5000 0.5538 x4
La 0.1743 0.0000 0.9187 x4
Ce 0.0000 0.0000 0.5000 x2
Bi 0.0262 0.5000 0.7621 x4
Bi 0.1890 0.5000 0.2167 x4

---

3.
The following is a calculated X-ray powder pattern of La2CeTmBi5. It was derived from a DFT-relaxed cell (PBE, Alexandria), using copper Kα.

The 8 most intense peaks (2θ from 10° to 90°), low angle first:
(1 1 0), 2θ 23.26, d 3.824, I 58; (1 1 1), 2θ 24.42, d 3.646, I 48; (1 1 2), 2θ 27.62, d 3.230, I 58; (0 0 4), 2θ 29.60, d 3.018, I 61; (1 1 3), 2θ 32.29, d 2.772, I 44; (2 0 0), 2θ 33.13, d 2.704, I 100; (2 0 4), 2θ 45.01, d 2.014, I 80; (2 2 4), 2θ 57.02, d 1.615, I 42

Structure:
a b c (Å): 5.4085 5.4085 12.0707
angles (deg): 90.00 90.00 90.00
Space group P4/mmm (No. 123)
Symmetry-distinct sites (fractional):
La 0.0000 0.0000 0.2193 x2
Ce 0.5000 0.5000 0.5000 x1
Tm 0.5000 0.5000 0.0000 x1
Bi 0.0000 0.0000 0.5000 x1
Bi 0.0000 0.5000 0.0000 x2
Bi 0.5000 0.5000 0.2507 x2

---

4.
The following is a calculated X-ray powder pattern of LiCeBiN. It was derived from a DFT-relaxed cell (PBE, Alexandria), using copper Kα.

The 8 most intense peaks (2θ from 10° to 90°), low angle first:
(0 0 2), 2θ 12.16, d 7.277, I 27; (0 0 4), 2θ 24.47, d 3.638, I 40; (1 0 1), 2θ 27.37, d 3.259, I 56; (1 0 3), 2θ 32.52, d 2.753, I 100; (1 1 0), 2θ 38.06, d 2.364, I 40; (1 1 4), 2θ 45.77, d 1.983, I 30; (1 0 7), 2θ 51.78, d 1.766, I 27; (2 1 3), 2θ 65.30, d 1.429, I 28

Structure:
a b c (Å): 3.3437 3.3437 14.5535
angles (deg): 90.00 90.00 90.00
Space group I4mm (No. 107)
Symmetry-distinct sites (fractional):
Li 0.0000 0.0000 0.0000 x2
Ce 0.0000 0.0000 0.3264 x2
Bi 0.0000 0.0000 0.6268 x2
N 0.0000 0.0000 0.8650 x2

---

5.
The following is a calculated X-ray powder pattern of Ce2MgBi4. It was derived from a DFT-relaxed cell (PBE, Alexandria), using copper Kα.

The 8 most intense peaks (2θ from 10° to 90°), low angle first:
(0 0 3), 2θ 24.44, d 3.643, I 28; (1 0 2), 2θ 25.58, d 3.482, I 29; (1 1 1), 2θ 29.11, d 3.067, I 43; (1 1 2), 2θ 32.46, d 2.758, I 100; (1 0 4), 2θ 38.51, d 2.338, I 17; (2 0 0), 2θ 39.90, d 2.260, I 40; (2 0 3), 2θ 47.34, d 1.920, I 20; (3 1 2), 2θ 67.78, d 1.383, I 25

Structure:
a b c (Å): 4.5192 4.5192 10.9279
angles (deg): 90.00 90.00 90.00
Space group P-4m2 (No. 115)
Symmetry-distinct sites (fractional):
Ce 0.0000 0.5000 0.2351 x2
Mg 0.0000 0.0000 0.5000 x1
Bi 0.0000 0.0000 0.0000 x1
Bi 0.0000 0.5000 0.6761 x2
Bi 0.5000 0.5000 0.0000 x1

---

6.
The following is a calculated X-ray powder pattern of Ce3MgBi3. It was derived from a DFT-relaxed cell (PBE, Alexandria), using copper Kα.

The 8 most intense peaks (2θ from 10° to 90°), low angle first:
(1 1 0), 2θ 18.78, d 4.724, I 95; (0 0 2), 2θ 27.82, d 3.207, I 88; (1 2 0), 2θ 28.87, d 3.093, I 100; (2 1 1), 2θ 32.13, d 2.786, I 43; (3 0 0), 2θ 32.84, d 2.727, I 51; (1 1 2), 2θ 33.78, d 2.653, I 46; (1 2 2), 2θ 40.52, d 2.226, I 81; (3 0 2), 2θ 43.56, d 2.078, I 47

Structure:
a b c (Å): 9.4479 9.4479 6.4134
angles (deg): 90.00 90.00 120.00
Space group P6_3/m (No. 176)
Symmetry-distinct sites (fractional):
Ce 0.0825 0.4030 0.2500 x6
Mg 0.3333 0.6667 0.7500 x2
Bi 0.0625 0.3380 0.7500 x6

---

Please write out number 4 again, unchanged.
The following is a calculated X-ray powder pattern of LiCeBiN. It was derived from a DFT-relaxed cell (PBE, Alexandria), using copper Kα.

The 8 most intense peaks (2θ from 10° to 90°), low angle first:
(0 0 2), 2θ 12.16, d 7.277, I 27; (0 0 4), 2θ 24.47, d 3.638, I 40; (1 0 1), 2θ 27.37, d 3.259, I 56; (1 0 3), 2θ 32.52, d 2.753, I 100; (1 1 0), 2θ 38.06, d 2.364, I 40; (1 1 4), 2θ 45.77, d 1.983, I 30; (1 0 7), 2θ 51.78, d 1.766, I 27; (2 1 3), 2θ 65.30, d 1.429, I 28

Structure:
a b c (Å): 3.3437 3.3437 14.5535
angles (deg): 90.00 90.00 90.00
Space group I4mm (No. 107)
Symmetry-distinct sites (fractional):
Li 0.0000 0.0000 0.0000 x2
Ce 0.0000 0.0000 0.3264 x2
Bi 0.0000 0.0000 0.6268 x2
N 0.0000 0.0000 0.8650 x2

---

Copy entry 2 word for word.
The following is a calculated X-ray powder pattern of La5CeBi4. It was derived from a DFT-relaxed cell (PBE, Alexandria), using copper Kα.

The 8 most intense peaks (2θ from 10° to 90°), low angle first:
(1 1 1), 2θ 24.35, d 3.656, I 16; (3 1 -2), 2θ 28.14, d 3.171, I 14; (4 0 -3), 2θ 29.40, d 3.038, I 22; (3 1 1), 2θ 30.54, d 2.928, I 37; (6 0 0), 2θ 31.69, d 2.824, I 26; (5 1 -2), 2θ 31.92, d 2.803, I 100; (0 2 0), 2θ 40.05, d 2.251, I 22; (6 2 0), 2θ 51.95, d 1.760, I 14

Structure:
a b c (Å): 19.2833 4.5023 9.2692
angles (deg): 90.00 118.53 90.00
Space group C2/m (No. 12)
Symmetry-distinct sites (fractional):
La 0.0000 0.0000 0.0000 x2
La 0.1686 0.5000 0.5538 x4
La 0.1743 0.0000 0.9187 x4
Ce 0.0000 0.0000 0.5000 x2
Bi 0.0262 0.5000 0.7621 x4
Bi 0.1890 0.5000 0.2167 x4